(1)
# ScFeSi2
Calculated PXRD pattern, CuKα. Input: a structure optimized by DFT (PBE).
Intensities are scaled so that the largest is 100.

Largest 10 diffraction maxima, in order of rising 2θ, 10° ≤ 2θ ≤ 90°:
Position (°2θ), intensity
21.0, 17
26.8, 18
39.0, 55
40.0, 75
40.3, 26
42.5, 100
42.7, 36
43.9, 73
44.9, 27
48.8, 22

Cell and atoms:
Unit cell a=9.7679 b=9.7679 c=14.2276 alpha=90.00 beta=90.00 gamma=149.95
Element x y z (fractional)
1 Sc 0.0329 0.9671 0.8231
2 Sc 0.1230 0.8770 0.0846
3 Sc 0.2039 0.7961 0.3189
4 Sc 0.2961 0.7039 0.8189
5 Sc 0.3770 0.6230 0.5846
6 Sc 0.4671 0.5329 0.3231
7 Sc 0.5329 0.4671 0.6769
8 Sc 0.6230 0.3770 0.4154
9 Sc 0.7039 0.2961 0.1811
10 Sc 0.7961 0.2039 0.6811
11 Sc 0.8770 0.1230 0.9154
12 Sc 0.9671 0.0329 0.1769
13 Fe 0.0000 0.5000 0.0000
14 Fe 0.0000 0.5000 0.5000
15 Fe 0.0409 0.9591 0.3768
16 Fe 0.0888 0.4112 0.2500
17 Fe 0.4112 0.0888 0.7500
18 Fe 0.4591 0.5409 0.8768
19 Fe 0.5000 0.0000 0.0000
20 Fe 0.5000 0.0000 0.5000
21 Fe 0.5409 0.4591 0.1232
22 Fe 0.5888 0.9112 0.2500
23 Fe 0.9112 0.5888 0.7500
24 Fe 0.9591 0.0409 0.6232
25 Si 0.0870 0.9130 0.6436
26 Si 0.1401 0.8599 0.4924
27 Si 0.1642 0.3358 0.7500
28 Si 0.1671 0.8329 0.8993
29 Si 0.2356 0.7644 0.6433
30 Si 0.2467 0.2467 0.0000
31 Si 0.2533 0.2533 0.5000
32 Si 0.2644 0.7356 0.1433
33 Si 0.3329 0.6671 0.3993
34 Si 0.3358 0.1642 0.2500
35 Si 0.3599 0.6401 0.9924
36 Si 0.4130 0.5870 0.1436
37 Si 0.5870 0.4130 0.8564
38 Si 0.6401 0.3599 0.0076
39 Si 0.6642 0.8358 0.7500
40 Si 0.6671 0.3329 0.6007
41 Si 0.7356 0.2644 0.8567
42 Si 0.7467 0.7467 0.5000
43 Si 0.7533 0.7533 0.0000
44 Si 0.7644 0.2356 0.3567
45 Si 0.8329 0.1671 0.1007
46 Si 0.8358 0.6642 0.2500
47 Si 0.8599 0.1401 0.5076
48 Si 0.9130 0.0870 0.3564

=====

(2)
# Sc3Fe2Si6
Calculated PXRD pattern, CuKα. Input: a structure optimized by DFT (PBE).
Intensities are scaled so that the largest is 100.

Largest 10 diffraction maxima, in order of rising 2θ, 10° ≤ 2θ ≤ 90°:
Position (°2θ), intensity
11.4, 46
12.3, 49
15.6, 47
35.4, 44
38.8, 86
40.6, 100
42.4, 43
42.6, 91
43.0, 45
43.6, 92

Cell and atoms:
Unit cell a=9.5586 b=9.5586 c=14.4280 alpha=90.00 beta=90.00 gamma=149.24
Element x y z (fractional)
1 Sc 0.0346 0.9654 0.8228
2 Sc 0.1248 0.8752 0.0900
3 Sc 0.2108 0.7892 0.3192
4 Sc 0.2892 0.7108 0.8192
5 Sc 0.3752 0.6248 0.5900
6 Sc 0.4654 0.5346 0.3228
7 Sc 0.5346 0.4654 0.6772
8 Sc 0.6248 0.3752 0.4100
9 Sc 0.7108 0.2892 0.1808
10 Sc 0.7892 0.2108 0.6808
11 Sc 0.8752 0.1248 0.9100
12 Sc 0.9654 0.0346 0.1772
13 Fe 0.0000 0.5000 0.0000
14 Fe 0.0000 0.5000 0.5000
15 Fe 0.0443 0.9557 0.3785
16 Fe 0.4557 0.5443 0.8785
17 Fe 0.5000 0.0000 0.0000
18 Fe 0.5000 0.0000 0.5000
19 Fe 0.5443 0.4557 0.1215
20 Fe 0.9557 0.0443 0.6215
21 Si 0.0874 0.9126 0.6438
22 Si 0.1414 0.8586 0.4903
23 Si 0.1620 0.3380 0.7500
24 Si 0.1634 0.8366 0.9132
25 Si 0.2270 0.7730 0.6353
26 Si 0.2489 0.2489 0.0000
27 Si 0.2511 0.2511 0.5000
28 Si 0.2730 0.7270 0.1353
29 Si 0.3366 0.6634 0.4132
30 Si 0.3380 0.1620 0.2500
31 Si 0.3586 0.6414 0.9903
32 Si 0.4126 0.5874 0.1438
33 Si 0.5874 0.4126 0.8562
34 Si 0.6414 0.3586 0.0097
35 Si 0.6620 0.8380 0.7500
36 Si 0.6634 0.3366 0.5868
37 Si 0.7270 0.2730 0.8647
38 Si 0.7489 0.7489 0.5000
39 Si 0.7511 0.7511 0.0000
40 Si 0.7730 0.2270 0.3647
41 Si 0.8366 0.1634 0.0868
42 Si 0.8380 0.6620 0.2500
43 Si 0.8586 0.1414 0.5097
44 Si 0.9126 0.0874 0.3562

=====

(3)
# ScFeSi
Calculated PXRD pattern, CuKα. Input: a structure optimized by DFT (PBE).
Intensities are scaled so that the largest is 100.

Largest 10 diffraction maxima, in order of rising 2θ, 10° ≤ 2θ ≤ 90°:
Position (°2θ), intensity
19.0, 36
29.2, 31
37.6, 98
37.9, 100
38.6, 32
43.7, 60
44.7, 65
46.6, 66
64.3, 35
75.6, 33

Cell and atoms:
Unit cell a=6.5351 b=4.0542 c=6.6640 alpha=90.00 beta=90.00 gamma=90.00
Element x y z (fractional)
1 Sc 0.0126 0.2500 0.1913
2 Sc 0.4874 0.7500 0.6913
3 Sc 0.5126 0.2500 0.3087
4 Sc 0.9874 0.7500 0.8087
5 Fe 0.1535 0.7500 0.4378
6 Fe 0.3465 0.2500 0.9378
7 Fe 0.6535 0.7500 0.0622
8 Fe 0.8465 0.2500 0.5622
9 Si 0.2008 0.2500 0.6077
10 Si 0.2992 0.7500 0.1077
11 Si 0.7008 0.2500 0.8923
12 Si 0.7992 0.7500 0.3923